Starting from the PBE geometry in the Materials Project, the powder diffractogram of YNb2NO5 was calculated for CuKα.
Intensities are scaled so that the largest is 100.

Cell and atoms:
```
data_YNb2NO5
_symmetry_space_group_name_H-M 'P 1 21 1'
_symmetry_Int_Tables_number 4
_symmetry_space_group_name_Hall 'P 2yb'
_cell_length_a 5.9634
_cell_length_b 5.2840
_cell_length_c 15.0277
_cell_angle_alpha 90.00
_cell_angle_beta 90.31
_cell_angle_gamma 90.00
loop_
_atom_site_label
_atom_site_fract_x
_atom_site_fract_y
_atom_site_fract_z
Y1 0.0488 0.9997 0.2529
Y2 0.4478 0.5000 0.2487
Nb1 0.0737 0.9953 0.9180
Nb2 0.0823 0.0344 0.5852
Nb3 0.4288 0.5048 0.5841
Nb4 0.4421 0.4810 0.9143
N1 0.3354 0.2127 0.6506
N2 0.3600 0.8640 0.1675
O1 0.1087 0.6776 0.9965
O2 0.1170 0.3482 0.5057
O3 0.1244 0.3627 0.1676
O4 0.1363 0.6458 0.3332
O5 0.1601 0.3019 0.8509
O6 0.1608 0.7141 0.6478
O7 0.3381 0.8029 0.8529
O8 0.3642 0.1519 0.3343
O9 0.3745 0.1616 0.9929
O10 0.3753 0.8484 0.5038
```

The 6 most intense peaks (2θ = 10–90°), most intense first:
d (Å)  two_theta  I_rel  h k l
3.109  28.7  100  1 1 -3
3.099  28.8  94  1 1 3
1.818  50.2  30  0 2 6
2.642  33.9  25  0 2 0
2.597  34.5  23  2 1 0
3.826  23.3  22  1 0 3

Starting from the PBE geometry in the Materials Project, the powder diffractogram of Nb3Pb3N5 was calculated for CuKα.
Intensities are scaled so that the largest is 100.

Cell and atoms:
```
data_Nb3Pb3N5
_symmetry_space_group_name_H-M 'P -1'
_symmetry_Int_Tables_number 2
_symmetry_space_group_name_Hall '-P 1'
_cell_length_a 6.3802
_cell_length_b 7.9568
_cell_length_c 9.2484
_cell_angle_alpha 104.98
_cell_angle_beta 96.23
_cell_angle_gamma 104.06
loop_
_atom_site_label
_atom_site_fract_x
_atom_site_fract_y
_atom_site_fract_z
Nb1 0.0819 0.1990 0.0393
Nb2 0.1006 0.4242 0.7128
Nb3 0.3288 0.5153 0.3778
Pb1 0.2532 0.0456 0.4880
Pb2 0.4742 0.8492 0.7790
Pb3 0.4821 0.7076 0.1254
N1 0.0344 0.3708 0.2299
N2 0.1473 0.3174 0.8794
N3 0.1825 0.7126 0.4166
N4 0.1997 0.9816 0.0371
N5 0.3232 0.4499 0.5710
```

The 6 most intense peaks (2θ = 10–90°), most intense first:
d (Å)  two_theta  I_rel  h k l
3.089  28.9  100  0 2 1
2.803  31.9  59  1 2 -2
3.049  29.3  56  0 1 -3
6.085  14.6  47  1 0 0
3.533  25.2  42  1 -1 2
2.850  31.4  36  1 0 -3